(1)
For Tc2Pb2O7, a structure optimized by DFT (PBE) gives the calculated powder diffraction line list in this record (Cu Ka).

Principal peaks in the range 10 to 80 degrees two-theta, sorted by position:
2θ/deg	d_spacing	I/Imax
14.51	6.105	9
27.98	3.188	6
29.26	3.053	100
33.91	2.644	37
37.06	2.426	10
44.52	2.035	5
48.71	1.869	44
51.10	1.787	4
57.84	1.594	45
60.67	1.526	12
71.35	1.322	7
78.92	1.213	18

Cell lengths 10.575, 10.575, 10.575 Å; angles 90.00, 90.00, 90.00 degrees
Space group Fd-3m (No. 227, origin choice 2)
Symmetry-distinct sites (fractional):
Tc 0.000 0.000 0.000
Pb 0.000 0.000 0.500
O 0.068 0.375 0.375
O 0.125 0.125 0.625



(2)
For Tl2TcPbO4, a structure optimized by DFT (PBE) gives the calculated powder diffraction line list in this record (Cu Ka).

Principal peaks in the range 10 to 80 degrees two-theta, sorted by position:
2θ/deg	d_spacing	I/Imax
26.73	3.335	66
26.85	3.321	65
31.56	2.835	50
31.72	2.821	100
31.91	2.805	50
37.99	2.369	33
38.51	2.338	31
50.23	1.816	27
50.34	1.813	13
50.52	1.807	27
50.65	1.802	27
59.33	1.558	18

Cell lengths 5.835, 5.874, 5.887 Å; angles 111.23, 110.63, 106.01 degrees
Space group P1 (No. 1)
Symmetry-distinct sites (fractional):
Tl 0.000 0.000 0.000
Tl 0.248 0.750 0.500
Tc 0.490 0.495 0.994
Pb 0.748 0.248 0.498
O 0.203 0.586 0.952
O 0.411 0.360 0.623
O 0.603 0.243 0.046
O 0.744 0.791 0.357



(3)
For Tl2TcPbO6, a structure optimized by DFT (PBE) gives the calculated powder diffraction line list in this record (Cu Ka).

Principal peaks in the range 10 to 80 degrees two-theta, sorted by position:
2θ/deg	d_spacing	I/Imax
14.41	6.148	41
16.07	5.516	18
21.65	4.106	65
28.02	3.185	100
29.05	3.074	26
31.64	2.828	26
35.68	2.516	25
40.80	2.212	84
45.97	1.974	23
49.58	1.839	21
58.49	1.578	30
67.69	1.384	18

Cell lengths 6.3693, 6.3693, 6.1479 Å; angles 90.00, 90.00, 120.00 degrees
Space group P-3m1 (No. 164)
Symmetry-distinct sites (fractional):
Tl 0.3333 0.6667 0.0047
Tc 0.0000 0.0000 0.0000
Pb 0.0000 0.0000 0.5000
O 0.1391 0.2782 0.8122



(4)
For Tl2TcPb2O6, a structure optimized by DFT (PBE) gives the calculated powder diffraction line list in this record (Cu Ka).

Principal peaks in the range 10 to 80 degrees two-theta, sorted by position:
2θ/deg	d_spacing	I/Imax
17.24	5.142	20
19.49	4.555	36
24.30	3.663	23
28.20	3.164	65
29.32	3.047	57
31.48	2.842	92
34.76	2.581	100
35.33	2.540	48
49.71	1.834	36
51.10	1.787	32
56.44	1.630	22
57.72	1.597	20

Cell lengths 6.299, 10.284, 6.543 Å; angles 90.00, 104.70, 90.00 degrees
Space group C2/m (No. 12)
Symmetry-distinct sites (fractional):
Tl 0.000 0.166 0.000
Tc 0.000 0.000 0.500
Pb 0.000 0.335 0.500
O 0.183 0.139 0.663
O 0.190 0.000 0.301



(5)
For TmTcPbO6, a structure optimized by DFT (PBE) gives the calculated powder diffraction line list in this record (Cu Ka).

Principal peaks in the range 10 to 80 degrees two-theta, sorted by position:
2θ/deg	d_spacing	I/Imax
25.46	3.498	100
32.41	2.762	41
35.00	2.564	9
41.66	2.168	26
48.44	1.879	38
53.75	1.705	26
57.23	1.610	10
57.82	1.595	12
69.40	1.354	9
73.76	1.285	11
76.72	1.242	9
78.69	1.216	9

Cell lengths 5.5245, 5.5245, 5.1279 Å; angles 90.00, 90.00, 120.00 degrees
Space group P312 (No. 149)
Symmetry-distinct sites (fractional):
Tm 0.0000 0.0000 0.0000
Tc 0.3333 0.6667 0.0000
Pb 0.6667 0.3333 0.5000
O 0.0598 0.3726 0.2126



(6)
For Te2PbO6, a structure optimized by DFT (PBE) gives the calculated powder diffraction line list in this record (Cu Ka).

Principal peaks in the range 10 to 80 degrees two-theta, sorted by position:
2θ/deg	d_spacing	I/Imax
11.37	7.781	60
23.29	3.819	32
24.04	3.702	75
24.83	3.586	47
25.06	3.554	72
25.49	3.494	100
26.01	3.426	52
28.87	3.093	36
30.80	2.903	39
32.69	2.739	50
33.66	2.662	33
36.33	2.473	34

Cell lengths 6.192, 7.245, 8.306 Å; angles 84.38, 69.69, 66.75 degrees
Space group P-1 (No. 2)
Symmetry-distinct sites (fractional):
Te 0.076 0.408 0.312
Te 0.245 0.851 0.862
Pb 0.356 0.842 0.395
O 0.048 0.165 0.407
O 0.127 0.955 0.097
O 0.198 0.621 0.840
O 0.242 0.446 0.463
O 0.326 0.987 0.660
O 0.425 0.254 0.126



(7)
For Te2Pb2O7, a structure optimized by DFT (PBE) gives the calculated powder diffraction line list in this record (Cu Ka).

Principal peaks in the range 10 to 80 degrees two-theta, sorted by position:
2θ/deg	d_spacing	I/Imax
21.90	4.059	24
22.67	3.922	10
24.94	3.570	100
27.88	3.201	32
28.31	3.153	41
29.54	3.024	46
30.45	2.936	15
33.09	2.707	17
44.65	2.030	18
45.23	2.005	19
45.44	1.996	14
47.96	1.897	15

Cell lengths 7.845, 9.497, 5.415 Å; angles 90.00, 90.91, 90.00 degrees
Space group Cm (No. 8)
Symmetry-distinct sites (fractional):
Te 0.000 0.000 0.000
Te 0.037 0.500 0.888
Pb 0.324 0.207 0.441
O 0.054 0.149 0.215
O 0.095 0.333 0.725
O 0.256 0.500 0.091
O 0.312 0.000 0.724
O 0.431 0.000 0.199



(8)
For TlTePbO5, a structure optimized by DFT (PBE) gives the calculated powder diffraction line list in this record (Cu Ka).

Principal peaks in the range 10 to 80 degrees two-theta, sorted by position:
2θ/deg	d_spacing	I/Imax
24.58	3.622	58
25.48	3.496	77
27.39	3.257	100
29.90	2.988	76
32.35	2.767	46
33.46	2.678	20
37.81	2.379	21
46.05	1.971	52
47.49	1.915	42
53.11	1.724	20
54.08	1.696	17
72.30	1.307	18

Cell lengths 7.604, 11.040, 7.729 Å; angles 90.00, 113.12, 90.00 degrees
Space group C2/c (No. 15)
Symmetry-distinct sites (fractional):
Tl 0.000 0.000 0.000
Te 0.000 0.325 0.250
Pb 0.000 0.296 0.750
O 0.000 0.092 0.750
O 0.119 0.227 0.125
O 0.175 0.416 0.443



(9)
For TlTePb2O8, a structure optimized by DFT (PBE) gives the calculated powder diffraction line list in this record (Cu Ka).

Principal peaks in the range 10 to 80 degrees two-theta, sorted by position:
2θ/deg	d_spacing	I/Imax
24.86	3.582	54
25.33	3.517	50
31.37	2.851	100
35.78	2.509	30
48.05	1.894	39
48.58	1.874	37
58.48	1.578	10
59.25	1.560	10
59.48	1.554	9
61.56	1.506	21
65.47	1.426	12
72.67	1.301	9

Cell lengths 7.033, 7.164, 6.930 Å; angles 90.00, 90.00, 90.00 degrees
Space group Cmmm (No. 65)
Symmetry-distinct sites (fractional):
Tl 0.000 0.000 0.000
Te 0.000 0.000 0.500
Pb 0.000 0.500 0.253
O 0.000 0.183 0.286
O 0.192 0.500 0.000
O 0.214 0.500 0.500



(10)
For TlTePbO4, a structure optimized by DFT (PBE) gives the calculated powder diffraction line list in this record (Cu Ka).

Principal peaks in the range 10 to 80 degrees two-theta, sorted by position:
2θ/deg	d_spacing	I/Imax
14.74	6.008	16
25.45	3.500	100
27.41	3.254	27
27.69	3.222	60
27.87	3.201	87
28.78	3.102	41
37.85	2.377	16
40.36	2.235	36
45.77	1.982	25
47.60	1.911	33
49.09	1.856	20
51.83	1.764	16

Cell lengths 6.254, 6.443, 7.850 Å; angles 90.00, 106.12, 90.00 degrees
Space group P2_1/m (No. 11)
Symmetry-distinct sites (fractional):
Tl 0.019 0.250 0.132
Te 0.389 0.250 0.745
Pb 0.218 0.750 0.479
O 0.215 0.507 0.709
O 0.286 0.750 0.184
O 0.398 0.250 0.503



(11)
For UTePbO6, a structure optimized by DFT (PBE) gives the calculated powder diffraction line list in this record (Cu Ka).

Principal peaks in the range 10 to 80 degrees two-theta, sorted by position:
2θ/deg	d_spacing	I/Imax
24.62	3.616	100
30.86	2.898	50
34.39	2.608	11
39.87	2.261	28
46.87	1.938	44
51.25	1.783	28
54.88	1.673	15
55.98	1.643	10
66.39	1.408	11
69.95	1.345	12
73.96	1.282	10
75.00	1.266	11

Cell lengths 5.7951, 5.7951, 10.4309 Å; angles 90.00, 90.00, 120.00 degrees
Space group P-31c (No. 163)
Symmetry-distinct sites (fractional):
U 0.3333 0.6667 0.2500
Te 0.3333 0.6667 0.7500
Pb 0.0000 0.0000 0.0000
O 0.0095 0.3728 0.1441



(12)
For UTePb2O8, a structure optimized by DFT (PBE) gives the calculated powder diffraction line list in this record (Cu Ka).

Principal peaks in the range 10 to 80 degrees two-theta, sorted by position:
2θ/deg	d_spacing	I/Imax
24.87	3.580	28
25.17	3.538	40
26.82	3.324	70
27.01	3.301	61
27.28	3.269	100
29.50	3.028	53
30.54	2.927	63
31.80	2.814	47
39.91	2.259	24
48.76	1.867	25
51.04	1.789	25
52.30	1.749	30

Cell lengths 5.854, 7.882, 8.037 Å; angles 90.00, 90.42, 90.00 degrees
Space group P2_1/c (No. 14)
Symmetry-distinct sites (fractional):
U 0.000 0.000 0.000
Te 0.000 0.000 0.500
Pb 0.491 0.167 0.685
O 0.110 0.027 0.733
O 0.128 0.732 0.995
O 0.295 0.066 0.066
O 0.297 0.082 0.434